Record 1
Structure and theoretical powder diffractogram of Lu5In4 (a cell relaxed with GGA-PBE; CuKα).
Lines closer than 0.1° are merged.

a = 9.0800 Å, b = 9.0800 Å, c = 6.5923 Å
α = 90.00°, β = 90.00°, γ = 120.00°
Sites, in units of the cell vectors:
Lu 0.0000 0.2883 0.2500
Lu 0.0000 0.7117 0.7500
Lu 0.2883 0.0000 0.2500
Lu 0.2883 0.2883 0.7500
Lu 0.3333 0.6667 0.0000
Lu 0.3333 0.6667 0.5000
Lu 0.6667 0.3333 0.0000
Lu 0.6667 0.3333 0.5000
Lu 0.7117 0.0000 0.7500
Lu 0.7117 0.7117 0.2500
In 0.0000 0.0000 0.0000
In 0.0000 0.0000 0.5000
In 0.0000 0.3744 0.7500
In 0.0000 0.6256 0.2500
In 0.3744 0.0000 0.7500
In 0.3744 0.3744 0.2500
In 0.6256 0.0000 0.2500
In 0.6256 0.6256 0.7500

Peak list (10 most intense, 10° ≤ 2θ ≤ 90°, in order of rising 2θ)
two_theta	Rel. int.
33.06	31.1
33.60	100.0
34.21	84.2
43.72	9.1
48.71	29.4
55.78	9.3
60.86	22.7
64.25	8.7
67.09	27.4
67.87	9.4



Record 2
Structure and theoretical powder diffractogram of V3Pb3N5 (a cell relaxed with GGA-PBE; CuKα).
Lines closer than 0.1° are merged.

a = 5.9809 Å, b = 7.7124 Å, c = 8.6616 Å
α = 106.38°, β = 97.24°, γ = 102.33°
Sites, in units of the cell vectors:
V 0.0546 0.1853 0.0215
V 0.0845 0.4232 0.7112
V 0.3219 0.5095 0.3925
V 0.6781 0.4905 0.6075
V 0.9155 0.5768 0.2888
V 0.9454 0.8147 0.9785
Pb 0.2258 0.0260 0.4330
Pb 0.3729 0.8382 0.7730
Pb 0.4669 0.6817 0.1278
Pb 0.5331 0.3183 0.8722
Pb 0.6271 0.1618 0.2270
Pb 0.7742 0.9740 0.5670
N 0.0584 0.3645 0.2250
N 0.1007 0.2995 0.8609
N 0.1960 0.7073 0.4395
N 0.2156 0.0047 0.0283
N 0.3309 0.4392 0.5864
N 0.6691 0.5608 0.4136
N 0.7844 0.9953 0.9717
N 0.8040 0.2927 0.5605
N 0.8993 0.7005 0.1391
N 0.9416 0.6355 0.7750

Peak list (10 most intense, 10° ≤ 2θ ≤ 90°, in order of rising 2θ)
two_theta	Rel. int.
15.47	39.4
25.98	29.3
27.16	92.0
30.37	100.0
30.98	42.7
31.63	52.2
32.78	78.0
33.59	82.6
35.84	48.5
36.75	38.3



Record 3
Structure and theoretical powder diffractogram of NbN3F12 (a cell relaxed with GGA-PBE; CuKα).
Lines closer than 0.1° are merged.

a = 7.6724 Å, b = 7.6724 Å, c = 6.2716 Å
α = 93.82°, β = 93.82°, γ = 125.60°
Sites, in units of the cell vectors:
Nb 0.0000 0.0000 0.0000
N 0.0000 0.0000 0.5000
N 0.0000 0.5000 0.0000
N 0.5000 0.0000 0.0000
F 0.0620 0.8914 0.7048
F 0.1086 0.9380 0.2952
F 0.1131 0.5850 0.7924
F 0.1333 0.3141 0.0144
F 0.3141 0.1333 0.0144
F 0.4150 0.8869 0.2076
F 0.5850 0.1131 0.7924
F 0.6859 0.8667 0.9856
F 0.8667 0.6859 0.9856
F 0.8869 0.4150 0.2076
F 0.8914 0.0620 0.7048
F 0.9380 0.1086 0.2952

Peak list (10 most intense, 10° ≤ 2θ ≤ 90°, in order of rising 2θ)
two_theta	Rel. int.
12.97	6.0
14.30	100.0
18.90	6.3
23.38	8.0
28.86	10.6
31.68	5.9
34.02	4.7
44.93	6.7
51.35	5.2
54.54	5.4



Record 4
Structure and theoretical powder diffractogram of Lu2IrRu (a cell relaxed with GGA-PBE; CuKα).
Lines closer than 0.1° are merged.

a = 6.6828 Å, b = 6.6828 Å, c = 6.6828 Å
α = 90.00°, β = 90.00°, γ = 90.00°
Sites, in units of the cell vectors:
Lu 0.2500 0.2500 0.2500
Lu 0.2500 0.2500 0.7500
Lu 0.2500 0.7500 0.2500
Lu 0.2500 0.7500 0.7500
Lu 0.7500 0.2500 0.2500
Lu 0.7500 0.2500 0.7500
Lu 0.7500 0.7500 0.2500
Lu 0.7500 0.7500 0.7500
Ir 0.0000 0.0000 0.0000
Ir 0.0000 0.5000 0.5000
Ir 0.5000 0.0000 0.5000
Ir 0.5000 0.5000 0.0000
Ru 0.0000 0.0000 0.5000
Ru 0.0000 0.5000 0.0000
Ru 0.5000 0.0000 0.0000
Ru 0.5000 0.5000 0.5000

Peak list (10 most intense, 10° ≤ 2θ ≤ 90°, in order of rising 2θ)
two_theta	Rel. int.
23.05	4.1
26.68	0.9
38.09	100.0
44.99	2.3
54.96	17.4
60.38	1.0
68.82	35.5
73.66	0.8
81.47	11.3
86.07	0.8